This entry pairs a crystal structure of SrCd7 with its simulated XRD peak list. Radiation: Cu Ka. Structure: DFT lattice parameters and positions (PBE).

Cell and atoms:
a = 7.325 Å, b = 7.325 Å, c = 4.421 Å
α = 106.75°, β = 106.75°, γ = 68.47°
Element x y z (fractional)
1 Sr 0.000 0.000 0.000
2 Cd 0.176 0.556 0.367
3 Cd 0.242 0.242 0.747
4 Cd 0.444 0.824 0.633
5 Cd 0.500 0.500 0.000
6 Cd 0.556 0.176 0.367
7 Cd 0.758 0.758 0.253
8 Cd 0.824 0.444 0.633

Top 10 peaks for 2θ from 15° to 90°, sorted by position:
2theta, I_rel
30.6, 33
30.8, 63
31.4, 33
38.5, 100
39.0, 17
39.6, 16
40.6, 13
40.8, 33
56.9, 17
57.8, 16